The following is a computed X-ray powder pattern of GdYIrAu. It was derived from the GGA-PBE geometry in Alexandria, using copper Kα.

Top 6 peaks for 2θ = 15–90°, sorted by position:
25.20°, d = 3.534 Å, rel. 6, hkl 2 0 0
35.94°, d = 2.499 Å, rel. 100, hkl 2 2 0
51.74°, d = 1.767 Å, rel. 18, hkl 4 0 0
64.60°, d = 1.443 Å, rel. 37, hkl 4 2 2
76.20°, d = 1.249 Å, rel. 11, hkl 4 4 0
87.24°, d = 1.117 Å, rel. 17, hkl 6 2 0

Structural model:
```
GdYIrAu
1.0
7.0674 0.0000 0.0000
0.0000 7.0674 0.0000
0.0000 0.0000 7.0674
Gd Y Ir Au
4 4 4 4
direct
0.0000 0.0000 0.0000
0.0000 0.5000 0.5000
0.5000 0.0000 0.5000
0.5000 0.5000 0.0000
0.0000 0.0000 0.5000
0.0000 0.5000 0.0000
0.5000 0.0000 0.0000
0.5000 0.5000 0.5000
0.2500 0.2500 0.2500
0.2500 0.7500 0.7500
0.7500 0.2500 0.7500
0.7500 0.7500 0.2500
0.2500 0.2500 0.7500
0.2500 0.7500 0.2500
0.7500 0.2500 0.2500
0.7500 0.7500 0.7500
```